# 1
KCrCuF6: computed X-ray powder pattern (Cu Kα X-rays), based on a structure optimized by DFT (PBE+U).
Neutral-atom scattering factors, no anomalous dispersion.

Main lines, by angle (2θ from 10° to 90°):
d [Å], I_rel
5.992, 100
3.190, 64
3.087, 47
3.042, 70
3.020, 45
2.996, 51

Atomic structure:
Lattice parameters (Å, degrees): 7.4291 10.1876 6.8450 90.00 94.12 90.00
Element x y z (fractional)
K 0.2427 0.1153 0.4981
K 0.2427 0.3847 0.9981
K 0.7573 0.6153 0.0019
K 0.7573 0.8847 0.5019
Cr 0.0000 0.0000 0.0000
Cr 0.0000 0.5000 0.5000
Cr 0.5000 0.0000 0.0000
Cr 0.5000 0.5000 0.5000
Cu 0.2550 0.7328 0.8188
Cu 0.2550 0.7672 0.3188
Cu 0.7450 0.2328 0.6812
Cu 0.7450 0.2672 0.1812
F 0.0268 0.1650 0.1352
F 0.0268 0.3350 0.6352
F 0.0771 0.5894 0.7444
F 0.0771 0.9106 0.2444
F 0.2441 0.6695 0.0800
F 0.2441 0.8305 0.5800
F 0.2450 0.0226 0.9133
F 0.2450 0.4774 0.4133
F 0.4460 0.5583 0.7566
F 0.4460 0.9417 0.2566
F 0.4880 0.6805 0.4008
F 0.4880 0.8195 0.9008
F 0.5120 0.1805 0.0992
F 0.5120 0.3195 0.5992
F 0.5540 0.0583 0.7434
F 0.5540 0.4417 0.2434
F 0.7550 0.5226 0.5867
F 0.7550 0.9774 0.0867
F 0.7559 0.1695 0.4200
F 0.7559 0.3305 0.9200
F 0.9229 0.0894 0.7556
F 0.9229 0.4106 0.2556
F 0.9732 0.6650 0.3648
F 0.9732 0.8350 0.8648

# 2
Na2CrCuF7: computed X-ray powder pattern (Cu Kα X-rays), based on a structure optimized by DFT (PBE+U).
Neutral-atom scattering factors, no anomalous dispersion.

Main lines, by angle (2θ from 10° to 90°):
d [Å], I_rel
6.177, 68
3.111, 31
3.089, 100
2.969, 89
1.854, 77
1.607, 32

Atomic structure:
Lattice parameters (Å, degrees): 10.4896 7.2021 7.6435 90.00 90.00 90.00
Element x y z (fractional)
Na 0.0000 0.0000 0.0000
Na 0.0000 0.5000 0.0000
Na 0.2470 0.2500 0.2744
Na 0.2530 0.7500 0.7744
Na 0.5000 0.0000 0.5000
Na 0.5000 0.5000 0.5000
Na 0.7470 0.2500 0.2256
Na 0.7530 0.7500 0.7256
Cr 0.2418 0.2500 0.7774
Cr 0.2582 0.7500 0.2774
Cr 0.7418 0.2500 0.7226
Cr 0.7582 0.7500 0.2226
Cu 0.0000 0.0000 0.5000
Cu 0.0000 0.5000 0.5000
Cu 0.5000 0.0000 0.0000
Cu 0.5000 0.5000 0.0000
F 0.0062 0.2500 0.4057
F 0.1269 0.0477 0.7240
F 0.1269 0.4523 0.7240
F 0.1414 0.5482 0.3406
F 0.1414 0.9518 0.3406
F 0.1559 0.2500 0.0070
F 0.1701 0.7500 0.0497
F 0.3299 0.2500 0.5497
F 0.3441 0.7500 0.5070
F 0.3586 0.0482 0.8406
F 0.3586 0.4518 0.8406
F 0.3731 0.5477 0.2240
F 0.3731 0.9523 0.2240
F 0.4938 0.7500 0.9057
F 0.5062 0.2500 0.0943
F 0.6269 0.0477 0.7760
F 0.6269 0.4523 0.7760
F 0.6414 0.5482 0.1594
F 0.6414 0.9518 0.1594
F 0.6559 0.2500 0.4930
F 0.6701 0.7500 0.4503
F 0.8299 0.2500 0.9503
F 0.8441 0.7500 0.9930
F 0.8586 0.0482 0.6594
F 0.8586 0.4518 0.6594
F 0.8731 0.5477 0.2760
F 0.8731 0.9523 0.2760
F 0.9938 0.7500 0.5943

# 3
Li4CrFe3Cu2P6O24: computed X-ray powder pattern (Cu Kα X-rays), based on a structure optimized by DFT (PBE+U).
Neutral-atom scattering factors, no anomalous dispersion.

Main lines, by angle (2θ from 10° to 90°):
d [Å], I_rel
4.405, 100
3.732, 55
3.707, 35
2.746, 34
2.737, 33
2.545, 36

Atomic structure:
Lattice parameters (Å, degrees): 8.5874 8.6558 8.6630 61.27 61.35 61.38
Element x y z (fractional)
Li 0.0000 0.0000 0.0000
Li 0.0943 0.4998 0.9017
Li 0.5007 0.6931 0.3028
Li 0.9022 0.0992 0.4961
Cr 0.1053 0.7006 0.5070
Fe 0.3966 0.9912 0.7889
Fe 0.6030 0.2101 0.0072
Fe 0.8978 0.4946 0.3020
Cu 0.2711 0.8506 0.6422
Cu 0.7303 0.3588 0.1497
P 0.9997 0.3028 0.6986
P 0.2045 0.0962 0.1898
P 0.2977 0.5979 0.1069
P 0.4996 0.3882 0.6104
P 0.7045 0.8946 0.4002
P 0.7949 0.8088 0.9018
O 0.0141 0.2588 0.2210
O 0.0548 0.4624 0.6693
O 0.1374 0.5370 0.1432
O 0.1570 0.1102 0.7224
O 0.1847 0.9340 0.3832
O 0.2204 0.0472 0.0338
O 0.2689 0.6493 0.2693
O 0.2953 0.7698 0.9268
O 0.3381 0.5825 0.5859
O 0.3738 0.1424 0.1478
O 0.4435 0.2302 0.6441
O 0.4884 0.4402 0.0813
O 0.5140 0.9173 0.5587
O 0.5542 0.3554 0.7692
O 0.6262 0.8516 0.8548
O 0.6611 0.4130 0.4172
O 0.7037 0.0748 0.2285
O 0.7362 0.7319 0.3475
O 0.7796 0.9653 0.9503
O 0.8161 0.6160 0.0632
O 0.8425 0.2768 0.8910
O 0.8652 0.8617 0.4586
O 0.9428 0.3345 0.5396
O 0.9863 0.7791 0.7383

# 4
CrFe3Cu2P6O24: computed X-ray powder pattern (Cu Kα X-rays), based on a structure optimized by DFT (PBE+U).
Neutral-atom scattering factors, no anomalous dispersion.

Main lines, by angle (2θ from 10° to 90°):
d [Å], I_rel
4.313, 99
3.670, 100
2.715, 80
2.490, 44
1.921, 36
1.835, 30

Atomic structure:
Lattice parameters (Å, degrees): 8.5814 8.5814 8.5814 60.35 60.35 60.35
Element x y z (fractional)
Cr 0.0000 0.0000 0.0000
Fe 0.2852 0.2852 0.2852
Fe 0.4969 0.4969 0.4969
Fe 0.7856 0.7856 0.7856
Cu 0.1420 0.1420 0.1420
Cu 0.6414 0.6414 0.6414
P 0.0965 0.6851 0.3901
P 0.1840 0.5993 0.8916
P 0.3901 0.0965 0.6851
P 0.5993 0.8916 0.1840
P 0.6851 0.3901 0.0965
P 0.8916 0.1840 0.5993
O 0.0276 0.6363 0.8277
O 0.0550 0.1974 0.4039
O 0.0811 0.8823 0.2247
O 0.1339 0.5278 0.3278
O 0.1431 0.7605 0.9536
O 0.1974 0.4039 0.0550
O 0.2247 0.0811 0.8823
O 0.2544 0.6505 0.4505
O 0.3278 0.1339 0.5278
O 0.3812 0.5884 0.7277
O 0.4039 0.0550 0.1974
O 0.4505 0.2544 0.6505
O 0.5278 0.3278 0.1339
O 0.5525 0.8979 0.7023
O 0.5884 0.7277 0.3812
O 0.6363 0.8277 0.0276
O 0.6505 0.4505 0.2544
O 0.7023 0.5525 0.8979
O 0.7277 0.3812 0.5884
O 0.7605 0.9536 0.1431
O 0.8277 0.0276 0.6363
O 0.8823 0.2247 0.0811
O 0.8979 0.7023 0.5525
O 0.9536 0.1431 0.7605

# 5
Sr2GdCrCu2O8: computed X-ray powder pattern (Cu Kα X-rays), based on a structure optimized by DFT (PBE+U).
Neutral-atom scattering factors, no anomalous dispersion.

Main lines, by angle (2θ from 10° to 90°):
d [Å], I_rel
2.729, 18
2.721, 100
1.927, 26
1.574, 15
1.571, 31
1.360, 16

Atomic structure:
Lattice parameters (Å, degrees): 11.5267 3.8536 3.8536 89.83 90.00 90.00
Element x y z (fractional)
Sr 0.1656 0.0000 0.0000
Sr 0.8344 0.0000 0.0000
Gd 0.5000 0.9916 0.9916
Cr 0.0000 0.5014 0.5014
Cu 0.3436 0.4928 0.4928
Cu 0.6564 0.4928 0.4928
O 0.0000 0.0002 0.5040
O 0.0000 0.5040 0.0002
O 0.1665 0.4972 0.4972
O 0.3731 0.4913 0.9930
O 0.3731 0.9930 0.4913
O 0.6269 0.4913 0.9930
O 0.6269 0.9930 0.4913
O 0.8335 0.4972 0.4972

# 6
Cr5CuGe2O12: computed X-ray powder pattern (Cu Kα X-rays), based on a structure optimized by DFT (PBE+U).
Neutral-atom scattering factors, no anomalous dispersion.

Main lines, by angle (2θ from 10° to 90°):
d [Å], I_rel
3.217, 45
2.877, 29
2.826, 62
2.553, 100
2.530, 89
1.485, 69

Atomic structure:
Lattice parameters (Å, degrees): 9.6118 9.6118 6.0503 90.00 90.00 52.21
Element x y z (fractional)
Cr 0.0000 0.0000 0.0000
Cr 0.0000 0.0000 0.5000
Cr 0.1614 0.6650 0.7500
Cr 0.3278 0.3278 0.0000
Cr 0.3278 0.3278 0.5000
Cr 0.3350 0.8386 0.7500
Cr 0.6650 0.1614 0.2500
Cr 0.6722 0.6722 0.0000
Cr 0.6722 0.6722 0.5000
Cr 0.8386 0.3350 0.2500
Cu 0.3772 0.6228 0.2500
Cu 0.6228 0.3772 0.7500
Ge 0.0240 0.3107 0.7500
Ge 0.3107 0.0240 0.2500
Ge 0.6893 0.9760 0.7500
Ge 0.9760 0.6893 0.2500
O 0.0782 0.0857 0.7500
O 0.0857 0.0782 0.2500
O 0.0953 0.5780 0.0076
O 0.0953 0.5780 0.4924
O 0.2318 0.7682 0.5313
O 0.2318 0.7682 0.9687
O 0.2328 0.2642 0.7500
O 0.2642 0.2328 0.2500
O 0.3833 0.4238 0.7500
O 0.4220 0.9047 0.0076
O 0.4220 0.9047 0.4924
O 0.4238 0.3833 0.2500
O 0.5762 0.6167 0.7500
O 0.5780 0.0953 0.5076
O 0.5780 0.0953 0.9924
O 0.6167 0.5762 0.2500
O 0.7358 0.7672 0.7500
O 0.7672 0.7358 0.2500
O 0.7682 0.2318 0.0313
O 0.7682 0.2318 0.4687
O 0.9047 0.4220 0.5076
O 0.9047 0.4220 0.9924
O 0.9143 0.9218 0.7500
O 0.9218 0.9143 0.2500

Copy entry 3 word for word.
Li4CrFe3Cu2P6O24: computed X-ray powder pattern (Cu Kα X-rays), based on a structure optimized by DFT (PBE+U).
Neutral-atom scattering factors, no anomalous dispersion.

Main lines, by angle (2θ from 10° to 90°):
d [Å], I_rel
4.405, 100
3.732, 55
3.707, 35
2.746, 34
2.737, 33
2.545, 36

Atomic structure:
Lattice parameters (Å, degrees): 8.5874 8.6558 8.6630 61.27 61.35 61.38
Element x y z (fractional)
Li 0.0000 0.0000 0.0000
Li 0.0943 0.4998 0.9017
Li 0.5007 0.6931 0.3028
Li 0.9022 0.0992 0.4961
Cr 0.1053 0.7006 0.5070
Fe 0.3966 0.9912 0.7889
Fe 0.6030 0.2101 0.0072
Fe 0.8978 0.4946 0.3020
Cu 0.2711 0.8506 0.6422
Cu 0.7303 0.3588 0.1497
P 0.9997 0.3028 0.6986
P 0.2045 0.0962 0.1898
P 0.2977 0.5979 0.1069
P 0.4996 0.3882 0.6104
P 0.7045 0.8946 0.4002
P 0.7949 0.8088 0.9018
O 0.0141 0.2588 0.2210
O 0.0548 0.4624 0.6693
O 0.1374 0.5370 0.1432
O 0.1570 0.1102 0.7224
O 0.1847 0.9340 0.3832
O 0.2204 0.0472 0.0338
O 0.2689 0.6493 0.2693
O 0.2953 0.7698 0.9268
O 0.3381 0.5825 0.5859
O 0.3738 0.1424 0.1478
O 0.4435 0.2302 0.6441
O 0.4884 0.4402 0.0813
O 0.5140 0.9173 0.5587
O 0.5542 0.3554 0.7692
O 0.6262 0.8516 0.8548
O 0.6611 0.4130 0.4172
O 0.7037 0.0748 0.2285
O 0.7362 0.7319 0.3475
O 0.7796 0.9653 0.9503
O 0.8161 0.6160 0.0632
O 0.8425 0.2768 0.8910
O 0.8652 0.8617 0.4586
O 0.9428 0.3345 0.5396
O 0.9863 0.7791 0.7383

> Which formula does entry 1 have?

KCrCuF6